Theoretical powder diffractogram
Compound: NaMnIn4S8
Radiation: a wavelength of 1.5418 Å
Structure: a DFT-relaxed cell (PBE, Alexandria)

Atomic structure:
a = 7.6575 Å, b = 7.6575 Å, c = 7.6575 Å
α = 61.02°, β = 61.02°, γ = 61.02°
Positions (direct):
Na 0.0000 0.0000 0.0000
Mn 0.6234 0.6234 0.6234
In 0.0998 0.6242 0.6242
In 0.2413 0.2413 0.2413
In 0.6242 0.0998 0.6242
In 0.6242 0.6242 0.0998
S 0.3779 0.3779 0.3779
S 0.3853 0.3853 0.8356
S 0.3853 0.8356 0.3853
S 0.4059 0.8431 0.8431
S 0.8356 0.3853 0.3853
S 0.8431 0.4059 0.8431
S 0.8431 0.8431 0.4059
S 0.8600 0.8600 0.8600

Top 10 peaks for 5 to 70 degrees two-theta, by angle:
two_theta	intensity
13.99	43
14.28	39
16.25	38
26.91	98
27.07	84
27.38	46
32.84	100
43.05	50
46.73	79
47.51	78

Theoretical powder diffractogram
Compound: Na3MnIn3S8
Radiation: a wavelength of 1.5418 Å
Structure: a DFT-relaxed cell (PBE, Alexandria)

Atomic structure:
a = 7.5218 Å, b = 7.5218 Å, c = 8.0664 Å
α = 117.85°, β = 117.85°, γ = 59.96°
Positions (direct):
Na 0.0000 0.0000 0.0000
Na 0.0000 0.5000 0.0000
Na 0.5000 0.0000 0.0000
Mn 0.0000 0.0000 0.5000
In 0.0000 0.5000 0.5000
In 0.5000 0.0000 0.5000
In 0.5000 0.5000 0.5000
S 0.2194 0.2194 0.7031
S 0.2196 0.7641 0.7029
S 0.2359 0.7804 0.2971
S 0.2600 0.2600 0.2814
S 0.7400 0.7400 0.7186
S 0.7641 0.2196 0.7029
S 0.7804 0.2359 0.2971
S 0.7806 0.7806 0.2969

Top 10 peaks for 5 to 70 degrees two-theta, by angle:
two_theta	intensity
13.03	97
27.74	28
28.78	13
32.64	100
41.61	23
45.19	33
48.42	31
50.36	17
57.21	10
59.61	15

Theoretical powder diffractogram
Compound: MnNb2In2Se6
Radiation: a wavelength of 1.5418 Å
Structure: a DFT-relaxed cell (PBE, Alexandria)

Atomic structure:
a = 6.4323 Å, b = 6.4323 Å, c = 7.9204 Å
α = 96.70°, β = 96.70°, γ = 120.15°
Positions (direct):
Mn 0.0000 0.0000 0.0000
Nb 0.3624 0.6376 0.0000
Nb 0.6376 0.3624 0.0000
In 0.1861 0.8139 0.5000
In 0.8139 0.1861 0.5000
Se 0.0458 0.3922 0.1873
Se 0.2575 0.2575 0.7768
Se 0.3922 0.0458 0.1873
Se 0.6078 0.9542 0.8127
Se 0.7425 0.7425 0.2232
Se 0.9542 0.6078 0.8127

Top 10 peaks for 5 to 70 degrees two-theta, by angle:
two_theta	intensity
11.49	22
17.93	16
19.66	9
31.59	100
32.44	55
41.28	18
42.46	34
49.02	12
49.17	32
60.01	14

Repeat the second record exactly.
Theoretical powder diffractogram
Compound: Na3MnIn3S8
Radiation: a wavelength of 1.5418 Å
Structure: a DFT-relaxed cell (PBE, Alexandria)

Atomic structure:
a = 7.5218 Å, b = 7.5218 Å, c = 8.0664 Å
α = 117.85°, β = 117.85°, γ = 59.96°
Positions (direct):
Na 0.0000 0.0000 0.0000
Na 0.0000 0.5000 0.0000
Na 0.5000 0.0000 0.0000
Mn 0.0000 0.0000 0.5000
In 0.0000 0.5000 0.5000
In 0.5000 0.0000 0.5000
In 0.5000 0.5000 0.5000
S 0.2194 0.2194 0.7031
S 0.2196 0.7641 0.7029
S 0.2359 0.7804 0.2971
S 0.2600 0.2600 0.2814
S 0.7400 0.7400 0.7186
S 0.7641 0.2196 0.7029
S 0.7804 0.2359 0.2971
S 0.7806 0.7806 0.2969

Top 10 peaks for 5 to 70 degrees two-theta, by angle:
two_theta	intensity
13.03	97
27.74	28
28.78	13
32.64	100
41.61	23
45.19	33
48.42	31
50.36	17
57.21	10
59.61	15